# 1
The following is a computed X-ray powder pattern of CaMn6O5F7. It was derived from a crystal structure in the Materials Project, relaxed with GGA+U, using a wavelength of 1.5418 Å.

Lattice parameters (Å, degrees): 6.4418 6.4418 6.5860 100.64 100.64 63.52
Fractional coordinates of all 19 atoms:
1 Ca 0.0000 0.0000 0.0000
2 Mn 0.9999 0.4785 0.8826
3 Mn 0.1271 0.5728 0.3584
4 Mn 0.4272 0.8729 0.6416
5 Mn 0.5131 0.4869 0.0000
6 Mn 0.5215 0.0001 0.1174
7 Mn 0.7168 0.2832 0.5000
8 O 0.2059 0.6153 0.0951
9 O 0.3847 0.7941 0.9049
10 O 0.4329 0.5671 0.5000
11 O 0.6739 0.2335 0.1878
12 O 0.7665 0.3261 0.8122
13 F 0.0194 0.9806 0.5000
14 F 0.1639 0.2329 0.1706
15 F 0.3428 0.2056 0.8201
16 F 0.5287 0.0171 0.4486
17 F 0.7671 0.8361 0.8294
18 F 0.7944 0.6572 0.1799
19 F 0.9829 0.4713 0.5514

Principal peaks in the range 10 to 80 degrees two-theta, in order of rising 2θ:
- 4.635 Å, 2θ 19.1, I 49
- 3.391 Å, 2θ 26.3, I 44
- 3.155 Å, 2θ 28.3, I 37
- 3.064 Å, 2θ 29.1, I 75
- 2.999 Å, 2θ 29.8, I 35
- 2.863 Å, 2θ 31.2, I 50
- 2.737 Å, 2θ 32.7, I 93
- 2.673 Å, 2θ 33.5, I 100
- 2.639 Å, 2θ 34.0, I 55
- 1.956 Å, 2θ 46.4, I 32

***

# 2
The following is a computed X-ray powder pattern of Ba3FeRu2O9. It was derived from a crystal structure in the Materials Project, relaxed with GGA+U, using a wavelength of 1.5418 Å.

Lattice parameters (Å, degrees): 5.8125 5.8125 14.1390 90.00 90.00 120.00
Fractional coordinates of all 30 atoms:
1 Ba 0.0000 0.0000 0.2500
2 Ba 0.0000 0.0000 0.7500
3 Ba 0.3333 0.6667 0.0890
4 Ba 0.3333 0.6667 0.4110
5 Ba 0.6667 0.3333 0.5890
6 Ba 0.6667 0.3333 0.9110
7 Fe 0.0000 0.0000 0.0000
8 Fe 0.0000 0.0000 0.5000
9 Ru 0.3333 0.6667 0.6603
10 Ru 0.3333 0.6667 0.8397
11 Ru 0.6667 0.3333 0.1603
12 Ru 0.6667 0.3333 0.3397
13 O 0.0179 0.5090 0.7500
14 O 0.1686 0.3371 0.5822
15 O 0.1686 0.3371 0.9178
16 O 0.1686 0.8314 0.5822
17 O 0.1686 0.8314 0.9178
18 O 0.3371 0.1686 0.0822
19 O 0.3371 0.1686 0.4178
20 O 0.4910 0.5090 0.7500
21 O 0.4910 0.9821 0.7500
22 O 0.5090 0.0179 0.2500
23 O 0.5090 0.4910 0.2500
24 O 0.6629 0.8314 0.5822
25 O 0.6629 0.8314 0.9178
26 O 0.8314 0.1686 0.0822
27 O 0.8314 0.1686 0.4178
28 O 0.8314 0.6629 0.0822
29 O 0.8314 0.6629 0.4178
30 O 0.9821 0.4910 0.2500

Principal peaks in the range 10 to 80 degrees two-theta, in order of rising 2θ:
- 3.440 Å, 2θ 25.9, I 26
- 2.906 Å, 2θ 30.8, I 100
- 2.893 Å, 2θ 30.9, I 52
- 2.465 Å, 2θ 36.4, I 18
- 2.220 Å, 2θ 40.6, I 21
- 2.050 Å, 2θ 44.2, I 32
- 1.880 Å, 2θ 48.4, I 12
- 1.875 Å, 2θ 48.6, I 11
- 1.677 Å, 2θ 54.7, I 40
- 1.453 Å, 2θ 64.1, I 19